(1)
Computed powder diffraction line list of BiTe2S5 for Cu Ka, from a cell relaxed with GGA-PBE.

The 8 most intense peaks (2θ = 10–80°), low angle first:
2theta	intensity
11.47	47
15.27	100
17.48	58
20.10	27
26.35	39
29.13	55
29.27	35
36.75	42

Atomic structure:
```
data_BiTe2S5
_space_group_name_H-M_alt 'C 1 m 1'
_space_group_IT_number 8
_cell_length_a 10.3269
_cell_length_b 7.0689
_cell_length_c 7.8479
_cell_angle_alpha 90.00
_cell_angle_beta 100.64
_cell_angle_gamma 90.00
loop_
_space_group_symop_operation_xyz
'x,y,z'
'x,-y,z'
'x+1/2,y+1/2,z'
'x+1/2,-y+1/2,z'
loop_
_atom_site_label
_atom_site_type_symbol
_atom_site_fract_x
_atom_site_fract_y
_atom_site_fract_z
Bi1 Bi 0.0000 0.0000 0.0000
Te1 Te 0.0586 0.0000 0.5078
Te2 Te 0.1528 0.5000 0.1554
S1 S 0.1749 0.2540 0.9404
S2 S 0.3778 0.5000 0.6527
S3 S 0.4901 0.2470 0.3031
```

=====

(2)
Computed powder diffraction line list of Bi4Te3S3 for Cu Ka, from a cell relaxed with GGA-PBE.

The 8 most intense peaks (2θ = 10–80°), low angle first:
2theta	intensity
17.05	25
24.46	25
28.24	100
33.55	22
37.87	24
42.73	40
45.16	22
52.01	19

Atomic structure:
```
data_Bi4Te3S3
_space_group_name_H-M_alt 'R 3 m'
_space_group_IT_number 160
_space_group_name_Hall 'R 3 -2"'
_cell_length_a 4.2318
_cell_length_b 4.2318
_cell_length_c 62.4024
_cell_angle_alpha 90.00
_cell_angle_beta 90.00
_cell_angle_gamma 120.00
loop_
_atom_site_label
_atom_site_type_symbol
_atom_site_fract_x
_atom_site_fract_y
_atom_site_fract_z
Bi1 Bi 0.0000 0.0000 0.0000
Bi2 Bi 0.0000 0.0000 0.1063
Bi3 Bi 0.0000 0.0000 0.4967
Bi4 Bi 0.0000 0.0000 0.6099
Te1 Te 0.0000 0.0000 0.1926
Te2 Te 0.0000 0.0000 0.6957
Te3 Te 0.0000 0.0000 0.9140
S1 S 0.0000 0.0000 0.3046
S2 S 0.0000 0.0000 0.4181
S3 S 0.0000 0.0000 0.8015
```

=====

(3)
Computed powder diffraction line list of Bi3TeS3 for Cu Ka, from a cell relaxed with GGA-PBE.

The 8 most intense peaks (2θ = 10–80°), low angle first:
2theta	intensity
14.71	24
23.01	23
24.72	100
29.66	19
31.92	60
33.86	36
38.30	21
47.14	21

Atomic structure:
```
data_Bi3TeS3
_space_group_name_H-M_alt 'R -3'
_space_group_IT_number 148
_space_group_name_Hall '-R 3'
_cell_length_a 8.1402
_cell_length_b 8.1402
_cell_length_c 23.1920
_cell_angle_alpha 90.00
_cell_angle_beta 90.00
_cell_angle_gamma 120.00
loop_
_atom_site_label
_atom_site_type_symbol
_atom_site_fract_x
_atom_site_fract_y
_atom_site_fract_z
Bi1 Bi 0.0320 0.4160 0.4023
Te1 Te 0.0000 0.0000 0.1603
S1 S 0.0316 0.2885 0.6174
```

=====

(4)
Computed powder diffraction line list of Bi14Te13S8 for Cu Ka, from a cell relaxed with GGA-PBE.

The 8 most intense peaks (2θ = 10–80°), low angle first:
2theta	intensity
16.62	23
27.84	100
32.97	23
37.14	24
42.29	41
44.19	24
51.39	25
68.67	32

Atomic structure:
```
data_Bi14Te13S8
_space_group_name_H-M_alt 'R -3'
_space_group_IT_number 148
_space_group_name_Hall '-R 3'
_cell_length_a 11.3091
_cell_length_b 11.3091
_cell_length_c 31.9979
_cell_angle_alpha 90.00
_cell_angle_beta 90.00
_cell_angle_gamma 120.00
loop_
_atom_site_label
_atom_site_type_symbol
_atom_site_fract_x
_atom_site_fract_y
_atom_site_fract_z
Bi1 Bi 0.0000 0.0000 0.1091
Bi2 Bi 0.0437 0.8140 0.7795
Bi3 Bi 0.0521 0.8043 0.5594
Te1 Te 0.0000 0.0000 0.5000
Te2 Te 0.0521 0.8093 0.3873
Te3 Te 0.0620 0.8194 0.9474
S1 S 0.0000 0.0000 0.2633
S2 S 0.0433 0.8060 0.1659
```

=====

(5)
Computed powder diffraction line list of Ti2Bi2S for Cu Ka, from a cell relaxed with GGA-PBE.

The 8 most intense peaks (2θ = 10–80°), low angle first:
2theta	intensity
16.71	44
27.77	26
31.12	25
32.58	29
33.79	32
35.53	100
61.58	20
62.07	28

Atomic structure:
```
data_Ti2Bi2S
_space_group_name_H-M_alt 'P 4/m b m'
_space_group_IT_number 127
_space_group_name_Hall '-P 4 2ab'
_cell_length_a 6.4257
_cell_length_b 6.4257
_cell_length_c 5.3047
_cell_angle_alpha 90.00
_cell_angle_beta 90.00
_cell_angle_gamma 90.00
loop_
_atom_site_label
_atom_site_type_symbol
_atom_site_fract_x
_atom_site_fract_y
_atom_site_fract_z
Ti1 Ti 0.1629 0.3371 0.0000
Bi1 Bi 0.1788 0.6788 0.5000
S1 S 0.0000 0.0000 0.0000
```

=====

(6)
Computed powder diffraction line list of Tl4Bi2S5 for Cu Ka, from a cell relaxed with GGA-PBE.

The 8 most intense peaks (2θ = 10–80°), low angle first:
2theta	intensity
25.51	84
26.25	79
29.85	100
30.22	46
41.76	19
43.00	69
50.00	29
51.26	27

Atomic structure:
```
data_Tl4Bi2S5
_space_group_name_H-M_alt 'P n m a'
_space_group_IT_number 62
_cell_length_a 17.3048
_cell_length_b 4.1452
_cell_length_c 17.7424
_cell_angle_alpha 90.00
_cell_angle_beta 90.00
_cell_angle_gamma 90.00
loop_
_space_group_symop_operation_xyz
'x,y,z'
'-x,-y,-z'
'-x+1/2,-y,z+1/2'
'x+1/2,y,-z+1/2'
'x+1/2,-y+1/2,-z+1/2'
'-x+1/2,y+1/2,z+1/2'
'-x,y+1/2,-z'
'x,-y+1/2,z'
loop_
_atom_site_label
_atom_site_type_symbol
_atom_site_fract_x
_atom_site_fract_y
_atom_site_fract_z
Tl1 Tl 0.0699 0.2500 0.0838
Tl2 Tl 0.1834 0.7500 0.9275
Tl3 Tl 0.1849 0.7500 0.2383
Tl4 Tl 0.1905 0.7500 0.5801
Bi1 Bi 0.0580 0.2500 0.4118
Bi2 Bi 0.0693 0.2500 0.7560
S1 S 0.0449 0.2500 0.2585
S2 S 0.0496 0.2500 0.9064
S3 S 0.0645 0.2500 0.5815
S4 S 0.1642 0.7500 0.4040
S5 S 0.1797 0.7500 0.7629
```